Computed powder X-ray diffraction pattern of BaMo2IrO8 for Cu Kα (weighted mean of Kα1 and Kα2), from a DFT-relaxed cell (PBE+U, Alexandria).
No peak broadening, texture or thermal motion is included.

```
data_BaMo2IrO8
_symmetry_space_group_name_H-M 'C 1 2/m 1'
_symmetry_Int_Tables_number 12
_symmetry_space_group_name_Hall '-C 2y'
_cell_length_a 9.135
_cell_length_b 5.938
_cell_length_c 7.703
_cell_angle_alpha 90.00
_cell_angle_beta 92.47
_cell_angle_gamma 90.00
loop_
_atom_site_label
_atom_site_type_symbol
_atom_site_fract_x
_atom_site_fract_y
_atom_site_fract_z
_atom_site_occupancy
Ba1 Ba 0.000 0.000 0.000 1
Mo1 Mo 0.134 0.500 0.291 1
Ir1 Ir 0.000 0.000 0.500 1
O1 O 0.020 0.240 0.310 1
O2 O 0.204 0.500 0.077 1
O3 O 0.213 0.000 0.549 1
```

Peak list (8 most intense, 5 to 70 degrees two-theta, low angle first)
- d 4.977, I 47, (1 1 0)
- d 4.563, I 50, (2 0 0)
- d 4.225, I 40, (1 1 -1)
- d 3.852, I 36, (2 0 1)
- d 3.080, I 100, (1 1 -2)
- d 3.010, I 57, (1 1 2)
- d 2.969, I 49, (0 2 0)
- d 2.707, I 68, (3 1 0)